Record 1
Theoretical PXRD pattern of MgB4Os3 for Cu Kα X-rays, from a crystal structure in Alexandria, relaxed with PBE.
Lines closer than 0.1° are merged.

Principal peaks in the range 10° ≤ 2θ ≤ 90°, by angle:
- d 3.784, 23.51°, I 64
- d 2.866, 31.21°, I 33
- d 2.843, 31.47°, I 100
- d 2.728, 32.83°, I 42
- d 2.457, 36.56°, I 29
- d 2.267, 39.75°, I 78
- d 2.144, 42.14°, I 62
- d 2.122, 42.60°, I 46
- d 1.846, 49.38°, I 49
- d 1.698, 53.99°, I 57

Crystal structure
```
data_MgB4Os3
_symmetry_space_group_name_H-M 'C m c m'
_symmetry_Int_Tables_number 63
_symmetry_space_group_name_Hall '-C 2c 2'
_cell_length_a 2.925
_cell_length_b 11.894
_cell_length_c 9.811
_cell_angle_alpha 90.00
_cell_angle_beta 90.00
_cell_angle_gamma 90.00
loop_
_atom_site_label
_atom_site_fract_x
_atom_site_fract_y
_atom_site_fract_z
Mg1 0.000 0.000 0.000
B1 0.000 0.123 0.250
B2 0.000 0.155 0.750
B3 0.000 0.340 0.111
Os1 0.000 0.301 0.607
Os2 0.000 0.483 0.250
```



Record 2
Theoretical PXRD pattern of Mg2B2Os5W for Cu Kα X-rays, from a crystal structure in Alexandria, relaxed with PBE.
Lines closer than 0.1° are merged.

Principal peaks in the range 10° ≤ 2θ ≤ 90°, by angle:
- d 4.280, 20.75°, I 37
- d 2.980, 29.98°, I 46
- d 2.654, 33.77°, I 37
- d 2.321, 38.80°, I 54
- d 2.236, 40.33°, I 37
- d 2.140, 42.23°, I 57
- d 2.123, 42.57°, I 100
- d 1.982, 45.78°, I 39
- d 1.831, 49.79°, I 36
- d 1.232, 77.45°, I 45

Crystal structure
```
data_Mg2B2Os5W
_symmetry_space_group_name_H-M 'P 4/m b m'
_symmetry_Int_Tables_number 127
_symmetry_space_group_name_Hall '-P 4 2ab'
_cell_length_a 9.571
_cell_length_b 9.571
_cell_length_c 2.980
_cell_angle_alpha 90.00
_cell_angle_beta 90.00
_cell_angle_gamma 90.00
loop_
_atom_site_label
_atom_site_fract_x
_atom_site_fract_y
_atom_site_fract_z
Mg1 0.177 0.323 0.000
B1 0.121 0.621 0.000
Os1 0.000 0.500 0.500
Os2 0.070 0.782 0.500
W1 0.000 0.000 0.000
```



Record 3
Theoretical PXRD pattern of MgB2P for Cu Kα X-rays, from a crystal structure in Alexandria, relaxed with PBE.
Lines closer than 0.1° are merged.

Principal peaks in the range 10° ≤ 2θ ≤ 90°, by angle:
- d 5.577, 15.89°, I 34
- d 4.523, 19.63°, I 55
- d 3.450, 25.82°, I 100
- d 2.788, 32.10°, I 49
- d 2.733, 32.77°, I 49
- d 2.718, 32.96°, I 40
- d 2.323, 38.76°, I 37
- d 2.137, 42.30°, I 34
- d 1.968, 46.13°, I 30
- d 1.836, 49.64°, I 31

Crystal structure
```
data_MgB2P
_symmetry_space_group_name_H-M 'P -1'
_symmetry_Int_Tables_number 2
_symmetry_space_group_name_Hall '-P 1'
_cell_length_a 4.397
_cell_length_b 4.649
_cell_length_c 5.855
_cell_angle_alpha 88.72
_cell_angle_beta 72.48
_cell_angle_gamma 76.92
loop_
_atom_site_label
_atom_site_fract_x
_atom_site_fract_y
_atom_site_fract_z
Mg1 0.178 0.163 0.209
B1 0.189 0.478 0.525
B2 0.414 0.733 0.561
P1 0.285 0.148 0.748
```



Record 4
Theoretical PXRD pattern of MgB2P for Cu Kα X-rays, from a crystal structure in Alexandria, relaxed with PBE.
Lines closer than 0.1° are merged.

Principal peaks in the range 10° ≤ 2θ ≤ 90°, by angle:
- d 4.162, 21.35°, I 47
- d 4.031, 22.05°, I 47
- d 3.872, 22.97°, I 69
- d 3.219, 27.71°, I 34
- d 3.094, 28.86°, I 100
- d 2.992, 29.86°, I 55
- d 2.336, 38.53°, I 56
- d 2.144, 42.15°, I 47
- d 2.048, 44.23°, I 36
- d 1.968, 46.13°, I 40

Crystal structure
```
data_MgB2P
_symmetry_space_group_name_H-M 'P 1'
_symmetry_Int_Tables_number 1
_symmetry_space_group_name_Hall 'P 1'
_cell_length_a 4.264
_cell_length_b 4.306
_cell_length_c 6.854
_cell_angle_alpha 105.44
_cell_angle_beta 99.82
_cell_angle_gamma 94.82
loop_
_atom_site_label
_atom_site_fract_x
_atom_site_fract_y
_atom_site_fract_z
Mg1 0.000 0.000 0.000
Mg2 0.474 0.642 0.411
B1 0.233 0.373 0.674
B2 0.844 0.263 0.489
B3 0.974 0.049 0.658
B4 0.987 0.654 0.650
P1 0.563 0.050 0.214
P2 0.687 0.387 0.761
```



Record 5
Theoretical PXRD pattern of MgB2Pd for Cu Kα X-rays, from a crystal structure in Alexandria, relaxed with PBE.
Lines closer than 0.1° are merged.

Principal peaks in the range 10° ≤ 2θ ≤ 90°, by angle:
- d 3.929, 22.63°, I 66
- d 3.536, 25.19°, I 70
- d 2.983, 29.96°, I 24
- d 2.439, 36.85°, I 100
- d 1.964, 46.21°, I 16
- d 1.833, 49.74°, I 42
- d 1.814, 50.29°, I 20
- d 1.647, 55.81°, I 29
- d 1.340, 70.23°, I 14
- d 1.135, 85.52°, I 17

Crystal structure
```
data_MgB2Pd
_symmetry_space_group_name_H-M 'I 41/a m d'
_symmetry_Int_Tables_number 141
_cell_length_a 3.629
_cell_length_b 3.629
_cell_length_c 15.715
_cell_angle_alpha 90.00
_cell_angle_beta 90.00
_cell_angle_gamma 90.00
loop_
_symmetry_equiv_pos_as_xyz
'x,y,z'
'-x,-y,-z'
'-y+1/4,x+3/4,z+1/4'
'y+1/4,-x+3/4,-z+1/4'
'-x+1/2,-y,z+1/2'
'x+1/2,y,-z+1/2'
'y+1/4,-x+1/4,z+3/4'
'-y+1/4,x+1/4,-z+3/4'
'x,-y,-z'
'-x,y,z'
'-y+1/4,-x+1/4,-z+3/4'
'y+1/4,x+1/4,z+3/4'
'-x+1/2,y,-z+1/2'
'x+1/2,-y,z+1/2'
'y+1/4,x+3/4,-z+1/4'
'-y+1/4,-x+3/4,z+1/4'
'x+1/2,y+1/2,z+1/2'
'-x+1/2,-y+1/2,-z+1/2'
'-y+3/4,x+1/4,z+3/4'
'y+3/4,-x+1/4,-z+3/4'
'-x,-y+1/2,z'
'x,y+1/2,-z'
'y+3/4,-x+3/4,z+1/4'
'-y+3/4,x+3/4,-z+1/4'
'x+1/2,-y+1/2,-z+1/2'
'-x+1/2,y+1/2,z+1/2'
'-y+3/4,-x+3/4,-z+1/4'
'y+3/4,x+3/4,z+1/4'
'-x,y+1/2,-z'
'x,-y+1/2,z'
'y+3/4,x+1/4,-z+3/4'
'-y+3/4,-x+1/4,z+3/4'
loop_
_atom_site_label
_atom_site_fract_x
_atom_site_fract_y
_atom_site_fract_z
Mg1 0.000 0.250 0.375
B1 0.000 0.000 0.000
Pd1 0.000 0.250 0.875
```



Record 6
Theoretical PXRD pattern of PmMgB12 for Cu Kα X-rays, from a crystal structure in Alexandria, relaxed with PBE.
Lines closer than 0.1° are merged.

Principal peaks in the range 10° ≤ 2θ ≤ 90°, by angle:
- d 8.255, 10.72°, I 78
- d 4.119, 21.58°, I 40
- d 3.682, 24.17°, I 52
- d 2.912, 30.70°, I 100
- d 2.745, 32.62°, I 30
- d 2.378, 37.84°, I 45
- d 1.998, 45.40°, I 19
- d 1.840, 49.53°, I 31
- d 1.681, 54.58°, I 21
- d 1.373, 68.33°, I 28

Crystal structure
```
data_PmMgB12
_symmetry_space_group_name_H-M 'P 4/m m m'
_symmetry_Int_Tables_number 123
_symmetry_space_group_name_Hall '-P 4 2'
_cell_length_a 4.114
_cell_length_b 4.114
_cell_length_c 8.255
_cell_angle_alpha 90.00
_cell_angle_beta 90.00
_cell_angle_gamma 90.00
loop_
_atom_site_label
_atom_site_fract_x
_atom_site_fract_y
_atom_site_fract_z
Pm1 0.000 0.000 0.000
Mg1 0.000 0.000 0.500
B1 0.200 0.500 0.251
B2 0.500 0.500 0.100
B3 0.500 0.500 0.400
```



Record 7
Theoretical PXRD pattern of Pm3MgB2Pt9 for Cu Kα X-rays, from a crystal structure in Alexandria, relaxed with PBE.
Lines closer than 0.1° are merged.

Principal peaks in the range 10° ≤ 2θ ≤ 90°, by angle:
- d 3.140, 28.43°, I 36
- d 2.662, 33.67°, I 13
- d 2.426, 37.06°, I 100
- d 2.215, 40.73°, I 74
- d 1.961, 46.31°, I 12
- d 1.717, 53.34°, I 12
- d 1.507, 61.55°, I 14
- d 1.449, 64.27°, I 23
- d 1.316, 71.73°, I 16
- d 1.244, 76.58°, I 12

Crystal structure
```
data_Pm3MgB2Pt9
_symmetry_space_group_name_H-M 'P -3 m 1'
_symmetry_Int_Tables_number 164
_symmetry_space_group_name_Hall '-P 3 2"'
_cell_length_a 5.7970
_cell_length_b 5.7970
_cell_length_c 9.4192
_cell_angle_alpha 90.00
_cell_angle_beta 90.00
_cell_angle_gamma 120.00
loop_
_atom_site_label
_atom_site_fract_x
_atom_site_fract_y
_atom_site_fract_z
Pm1 0.0000 0.0000 0.0000
Pm2 0.3333 0.6667 0.6194
Mg1 0.0000 0.0000 0.5000
B1 0.3333 0.6667 0.1483
Pt1 0.0000 0.5000 0.0000
Pt2 0.1650 0.3300 0.2821
```



Record 8
Theoretical PXRD pattern of MgB3Pt6 for Cu Kα X-rays, from a crystal structure in Alexandria, relaxed with PBE.
Lines closer than 0.1° are merged.

Principal peaks in the range 10° ≤ 2θ ≤ 90°, by angle:
- d 4.678, 18.97°, I 22
- d 2.734, 32.75°, I 100
- d 2.610, 34.36°, I 74
- d 2.383, 37.76°, I 24
- d 2.372, 37.94°, I 37
- d 2.339, 38.49°, I 26
- d 2.146, 42.11°, I 20
- d 1.957, 46.40°, I 23
- d 1.764, 51.82°, I 20
- d 1.367, 68.66°, I 23

Crystal structure
```
data_MgB3Pt6
_symmetry_space_group_name_H-M 'P 1'
_symmetry_Int_Tables_number 1
_symmetry_space_group_name_Hall 'P 1'
_cell_length_a 5.458
_cell_length_b 5.529
_cell_length_c 5.532
_cell_angle_alpha 119.00
_cell_angle_beta 98.75
_cell_angle_gamma 98.29
loop_
_atom_site_label
_atom_site_fract_x
_atom_site_fract_y
_atom_site_fract_z
Mg1 0.000 0.000 0.000
B1 0.501 0.847 0.845
B2 0.834 0.284 0.629
B3 0.834 0.630 0.282
Pt1 0.117 0.038 0.512
Pt2 0.117 0.512 0.038
Pt3 0.128 0.566 0.566
Pt4 0.581 0.888 0.251
Pt5 0.582 0.252 0.886
Pt6 0.602 0.508 0.505
```



Record 9
Theoretical PXRD pattern of MgB3Pt9 for Cu Kα X-rays, from a crystal structure in Alexandria, relaxed with PBE.
Lines closer than 0.1° are merged.

Principal peaks in the range 10° ≤ 2θ ≤ 90°, by angle:
- d 4.419, 20.09°, I 28
- d 3.875, 22.95°, I 35
- d 3.220, 27.70°, I 25
- d 2.680, 33.44°, I 36
- d 2.602, 34.47°, I 44
- d 2.368, 38.00°, I 100
- d 2.210, 40.84°, I 39
- d 2.071, 43.71°, I 30
- d 1.937, 46.90°, I 45
- d 1.907, 47.68°, I 22

Crystal structure
```
data_MgB3Pt9
_symmetry_space_group_name_H-M 'C 1 m 1'
_symmetry_Int_Tables_number 8
_symmetry_space_group_name_Hall 'C -2y'
_cell_length_a 16.620
_cell_length_b 5.608
_cell_length_c 4.568
_cell_angle_alpha 90.00
_cell_angle_beta 104.66
_cell_angle_gamma 90.00
loop_
_atom_site_label
_atom_site_fract_x
_atom_site_fract_y
_atom_site_fract_z
Mg1 0.000 0.000 0.000
B1 0.270 0.240 0.177
B2 0.468 0.000 0.376
Pt1 0.004 0.500 0.978
Pt2 0.062 0.242 0.530
Pt3 0.176 0.000 0.998
Pt4 0.223 0.255 0.541
Pt5 0.325 0.500 0.977
Pt6 0.389 0.249 0.505
```



Record 10
Theoretical PXRD pattern of MgBPt6 for Cu Kα X-rays, from a crystal structure in Alexandria, relaxed with PBE.
Lines closer than 0.1° are merged.

Principal peaks in the range 10° ≤ 2θ ≤ 90°, by angle:
- d 3.053, 29.25°, I 43
- d 2.459, 36.55°, I 32
- d 2.403, 37.43°, I 100
- d 2.394, 37.56°, I 51
- d 2.249, 40.10°, I 23
- d 2.079, 43.53°, I 68
- d 1.512, 61.32°, I 30
- d 1.468, 63.35°, I 23
- d 1.326, 71.10°, I 24
- d 1.263, 75.24°, I 21

Crystal structure
```
data_MgBPt6
_symmetry_space_group_name_H-M 'R -3 m'
_symmetry_Int_Tables_number 166
_symmetry_space_group_name_Hall '-R 3 2"'
_cell_length_a 7.7891
_cell_length_b 7.7891
_cell_length_c 7.1833
_cell_angle_alpha 90.00
_cell_angle_beta 90.00
_cell_angle_gamma 120.00
loop_
_atom_site_label
_atom_site_fract_x
_atom_site_fract_y
_atom_site_fract_z
Mg1 0.0000 0.0000 0.0000
B1 0.0000 0.0000 0.5000
Pt1 0.0743 0.5372 0.3274
```



Record 11
Theoretical PXRD pattern of Mg3B2Pt9 for Cu Kα X-rays, from a crystal structure in Alexandria, relaxed with PBE.
Lines closer than 0.1° are merged.

Principal peaks in the range 10° ≤ 2θ ≤ 90°, by angle:
- d 4.115, 21.59°, I 38
- d 3.475, 25.64°, I 26
- d 2.462, 36.49°, I 30
- d 2.418, 37.19°, I 63
- d 2.362, 38.09°, I 94
- d 2.220, 40.64°, I 100
- d 2.058, 44.01°, I 55
- d 1.468, 63.38°, I 25
- d 1.443, 64.61°, I 39
- d 1.239, 76.97°, I 46

Crystal structure
```
data_Mg3B2Pt9
_symmetry_space_group_name_H-M 'P 63/m m c'
_symmetry_Int_Tables_number 194
_symmetry_space_group_name_Hall '-P 6c 2c'
_cell_length_a 5.7704
_cell_length_b 5.7704
_cell_length_c 14.5059
_cell_angle_alpha 90.00
_cell_angle_beta 90.00
_cell_angle_gamma 120.00
loop_
_atom_site_label
_atom_site_fract_x
_atom_site_fract_y
_atom_site_fract_z
Mg1 0.0000 0.0000 0.2500
Mg2 0.3333 0.6667 0.0791
B1 0.3333 0.6667 0.6602
Pt1 0.0108 0.5054 0.2500
Pt2 0.1612 0.3225 0.5798
```



Record 12
Theoretical PXRD pattern of Th2MgBPt6 for Cu Kα X-rays, from a crystal structure in Alexandria, relaxed with PBE.
Lines closer than 0.1° are merged.

Principal peaks in the range 10° ≤ 2θ ≤ 90°, by angle:
- d 3.291, 27.10°, I 58
- d 2.911, 30.72°, I 35
- d 2.631, 34.07°, I 29
- d 2.592, 34.60°, I 31
- d 2.467, 36.42°, I 36
- d 2.371, 37.94°, I 100
- d 2.275, 39.62°, I 95
- d 1.743, 52.50°, I 32
- d 1.435, 64.97°, I 38
- d 1.316, 71.74°, I 26

Crystal structure
```
data_Th2MgBPt6
_symmetry_space_group_name_H-M 'R -3 m'
_symmetry_Int_Tables_number 166
_symmetry_space_group_name_Hall '-R 3 2"'
_cell_length_a 5.7414
_cell_length_b 5.7414
_cell_length_c 39.4881
_cell_angle_alpha 90.00
_cell_angle_beta 90.00
_cell_angle_gamma 120.00
loop_
_atom_site_label
_atom_site_fract_x
_atom_site_fract_y
_atom_site_fract_z
Th1 0.0000 0.0000 0.1085
Th2 0.0000 0.0000 0.2779
Mg1 0.0000 0.0000 0.4191
B1 0.0000 0.0000 0.0000
B2 0.0000 0.0000 0.5000
Pt1 0.0060 0.5030 0.3006
Pt2 0.0182 0.5091 0.8649
```